Entry 1:
# PdF2
Calculated powder XRD pattern, CuKα. Input: a cell relaxed with GGA-PBE.
Lines closer than 0.1° are merged.

Peak list (10 most intense, 10 to 90 degrees two-theta, low angle first)
d (Å)  2theta  I/Imax  h k l
3.047  29.32  100  1 1 1
2.821  31.72  22  0 0 2
2.714  33.00  11  0 2 0
1.956  46.43  16  0 2 2
1.840  49.53  13  2 0 2
1.810  50.42  15  2 2 0
1.669  55.03  20  1 1 3
1.624  56.69  21  1 3 1
1.523  60.81  13  2 2 2
1.496  62.04  15  3 1 1

Crystal structure
Unit cell a=4.857 b=5.428 c=5.641 alpha=90.00 beta=90.00 gamma=90.00
Space group Pbca (No. 61)
Symmetry-distinct sites (fractional):
1 Pd 0.000 0.000 0.000 [4 per cell]
2 F 0.164 0.184 0.372 [8 per cell]

---

Entry 2:
# Zr3Fe4Sn4
Calculated powder XRD pattern, CuKα. Input: a cell relaxed with GGA-PBE.
Lines closer than 0.1° are merged.

Peak list (10 most intense, 10 to 90 degrees two-theta, low angle first)
d (Å)  2theta  I/Imax  h k l
2.478  36.25  100  1 3 2
2.453  36.64  30  1 1 4
2.436  36.90  43  3 0 2
2.406  37.37  32  2 3 0
2.299  39.18  50  0 2 4
2.277  39.57  45  3 2 1
2.229  40.47  30  0 4 0
2.178  41.46  30  2 1 4
2.138  42.28  31  3 2 2
1.964  46.21  26  4 1 1

Crystal structure
Unit cell a=8.201 b=8.915 c=10.736 alpha=90.00 beta=90.00 gamma=90.00
Space group Pnma (No. 62)
Symmetry-distinct sites (fractional):
1 Zr 0.053 0.051 0.135 [8 per cell]
2 Zr 0.054 0.750 0.553 [4 per cell]
3 Fe 0.134 0.750 0.265 [4 per cell]
4 Fe 0.190 0.750 0.023 [4 per cell]
5 Fe 0.202 0.508 0.403 [8 per cell]
6 Sn 0.113 0.250 0.917 [4 per cell]
7 Sn 0.115 0.071 0.645 [8 per cell]
8 Sn 0.238 0.750 0.790 [4 per cell]

---

Entry 3:
# HfNbSe4
Calculated powder XRD pattern, CuKα. Input: a cell relaxed with GGA-PBE.
Lines closer than 0.1° are merged.

Peak list (10 most intense, 10 to 90 degrees two-theta, low angle first)
d (Å)  2theta  I/Imax  h k l
6.625  13.37  64  0 0 2
3.095  28.85  41  1 0 0
2.804  31.92  16  1 0 2
2.535  35.42  100  1 0 3
2.013  45.04  47  1 0 5
1.787  51.12  32  1 1 0
1.460  63.73  26  2 0 3
1.336  70.47  12  2 0 5
1.215  78.79  17  1 1 8
1.131  85.96  20  2 1 3

Crystal structure
Unit cell a=3.5737 b=3.5737 c=13.2492 alpha=90.00 beta=90.00 gamma=120.00
Space group P-6m2 (No. 187)
Symmetry-distinct sites (fractional):
1 Hf 0.0000 0.0000 0.0000 [1 per cell]
2 Nb 0.6667 0.3333 0.5000 [1 per cell]
3 Se 0.0000 0.0000 0.3752 [2 per cell]
4 Se 0.6667 0.3333 0.1288 [2 per cell]

---

Entry 4:
# Cs3P4HAu2O14
Calculated powder XRD pattern, CuKα. Input: a cell relaxed with GGA-PBE.
Lines closer than 0.1° are merged.

Peak list (10 most intense, 10 to 90 degrees two-theta, low angle first)
d (Å)  2theta  I/Imax  h k l
5.110  17.35  58  0 1 -1
4.941  17.95  63  1 0 0
4.751  18.68  66  -1 1 1
4.671  19.00  61  0 1 1
3.830  23.22  54  0 1 2
3.118  28.63  44  0 1 3
3.064  29.15  84  1 -1 3
2.985  29.93  100  1 0 -4
2.832  31.59  80  -2 1 1
2.334  38.57  50  0 2 2

Crystal structure
Unit cell a=5.671 b=5.961 c=13.031 alpha=91.68 beta=100.47 gamma=116.76
Space group P-1 (No. 2)
Symmetry-distinct sites (fractional):
1 Cs 0.000 0.000 0.000 [1 per cell]
2 Cs 0.207 0.855 0.572 [2 per cell]
3 P 0.411 0.465 0.336 [2 per cell]
4 P 0.443 0.697 0.146 [2 per cell]
5 H 0.500 0.500 0.000 [1 per cell]
6 Au 0.001 0.719 0.269 [2 per cell]
7 O 0.252 0.131 0.813 [2 per cell]
8 O 0.276 0.382 0.626 [2 per cell]
9 O 0.282 0.626 0.372 [2 per cell]
10 O 0.289 0.841 0.169 [2 per cell]
11 O 0.295 0.202 0.365 [2 per cell]
12 O 0.350 0.446 0.207 [2 per cell]
13 O 0.368 0.591 0.029 [2 per cell]

---

Entry 5:
# Rb2YHgCl6
Calculated powder XRD pattern, CuKα. Input: a cell relaxed with GGA-PBE.
Lines closer than 0.1° are merged.

Peak list (10 most intense, 10 to 90 degrees two-theta, low angle first)
d (Å)  2theta  I/Imax  h k l
5.520  16.06  28  2 0 0
3.903  22.78  100  2 2 0
2.760  32.44  62  4 0 0
2.253  40.01  47  4 2 2
1.951  46.54  43  4 4 0
1.745  52.42  23  6 2 0
1.593  57.87  14  4 4 4
1.475  63.01  26  6 4 2
1.234  77.31  18  8 4 0
1.127  86.35  14  8 4 4

Crystal structure
Unit cell a=11.039 b=11.039 c=11.039 alpha=90.00 beta=90.00 gamma=90.00
Space group Fm-3m (No. 225)
Symmetry-distinct sites (fractional):
1 Rb 0.250 0.250 0.250 [8 per cell]
2 Y 0.000 0.000 0.000 [4 per cell]
3 Hg 0.000 0.000 0.500 [4 per cell]
4 Cl 0.000 0.000 0.238 [24 per cell]

---

Entry 6:
# HfTe2
Calculated powder XRD pattern, CuKα. Input: a cell relaxed with GGA-PBE.
Lines closer than 0.1° are merged.

Peak list (10 most intense, 10 to 90 degrees two-theta, low angle first)
d (Å)  2theta  I/Imax  h k l
6.918  12.80  39  0 0 1
3.075  29.04  100  0 1 1
2.436  36.89  60  1 0 2
1.982  45.79  33  1 1 0
1.914  47.50  23  1 0 3
1.666  55.14  17  2 0 1
1.537  60.19  15  0 2 2
1.303  72.55  16  1 1 4
1.275  74.40  14  1 2 1
1.215  78.79  13  2 1 2

Crystal structure
Unit cell a=3.9633 b=3.9633 c=6.9176 alpha=90.00 beta=90.00 gamma=120.00
Space group P-3m1 (No. 164)
Symmetry-distinct sites (fractional):
1 Hf 0.0000 0.0000 0.0000 [1 per cell]
2 Te 0.3333 0.6667 0.2565 [2 per cell]

---

Entry 7:
# PuCl2F5
Calculated powder XRD pattern, CuKα. Input: a cell relaxed with GGA-PBE.
Lines closer than 0.1° are merged.

Peak list (10 most intense, 10 to 90 degrees two-theta, low angle first)
d (Å)  2theta  I/Imax  h k l
5.412  16.38  100  0 0 1
4.922  18.02  60  0 1 0
4.372  20.31  66  0 1 1
4.340  20.47  53  1 0 0
3.966  22.42  51  1 1 1
3.865  23.01  57  1 1 0
3.705  24.02  39  1 0 1
3.186  28.01  33  0 1 -1
2.704  33.13  32  1 2 1
2.463  36.48  56  1 -1 1

Crystal structure
Unit cell a=4.735 b=5.563 c=5.934 alpha=67.72 beta=73.45 gamma=68.41
Space group P1 (No. 1)
Symmetry-distinct sites (fractional):
1 Pu 0.000 0.000 0.000 [1 per cell]
2 Cl 0.196 0.631 0.513 [1 per cell]
3 Cl 0.421 0.519 0.210 [1 per cell]
4 F 0.071 0.227 0.166 [1 per cell]
5 F 0.361 0.045 0.728 [1 per cell]
6 F 0.641 0.926 0.269 [1 per cell]
7 F 0.690 0.348 0.824 [1 per cell]
8 F 0.919 0.760 0.852 [1 per cell]

---

- Which formula does entry 4 have?
  Cs3P4HAu2O14